No. 1
Starting from a cell relaxed with GGA-PBE, the powder X-ray diffraction pattern of TaMo was simulated for copper Kα.
Intensities are scaled so that the largest is 100.

Most intense lines, 2θ = 5–70°, by angle:
d = 4.477 Å, 19.83 deg, I = 11.3; d = 2.668 Å, 33.59 deg, I = 6.4; d = 2.337 Å, 38.52 deg, I = 26.5; d = 2.292 Å, 39.31 deg, I = 100.0; d = 2.239 Å, 40.29 deg, I = 23.3; d = 1.715 Å, 53.43 deg, I = 3.8; d = 1.625 Å, 56.65 deg, I = 8.6; d = 1.617 Å, 56.97 deg, I = 16.8

Atomic structure:
Unit cell a=2.8463 b=2.8463 c=4.4770 alpha=90.00 beta=90.00 gamma=110.38
Positions (direct):
Ta1 0.0000 0.0000 0.0000
Mo1 0.5000 0.5000 0.5000

***

No. 2
Starting from a cell relaxed with GGA-PBE, the powder X-ray diffraction pattern of Cs4GeO4 was simulated for copper Kα.
Intensities are scaled so that the largest is 100.

Most intense lines, 2θ = 5–70°, by angle:
d = 3.302 Å, 27.01 deg, I = 59.5; d = 3.280 Å, 27.19 deg, I = 49.2; d = 3.257 Å, 27.38 deg, I = 56.6; d = 3.165 Å, 28.20 deg, I = 100.0; d = 2.695 Å, 33.24 deg, I = 38.0; d = 2.660 Å, 33.69 deg, I = 48.7; d = 1.862 Å, 48.91 deg, I = 21.0; d = 1.856 Å, 49.10 deg, I = 18.1

Atomic structure:
Unit cell a=11.7116 b=7.2412 c=11.5444 alpha=90.00 beta=111.85 gamma=90.00
Positions (direct):
Cs1 0.0637 0.0897 0.2029
Cs2 0.0637 0.4103 0.7029
Cs3 0.1540 0.6164 0.0830
Cs4 0.1540 0.8836 0.5830
Cs5 0.3687 0.6622 0.8925
Cs6 0.3687 0.8378 0.3925
Cs7 0.4233 0.1721 0.7922
Cs8 0.4233 0.3279 0.2922
Cs9 0.5767 0.6721 0.7078
Cs10 0.5767 0.8279 0.2078
Cs11 0.6313 0.1622 0.6075
Cs12 0.6313 0.3378 0.1075
Cs13 0.8460 0.1164 0.4170
Cs14 0.8460 0.3836 0.9170
Cs15 0.9363 0.5897 0.2971
Cs16 0.9363 0.9103 0.7971
Ge1 0.2421 0.1257 0.9914
Ge2 0.2421 0.3743 0.4914
Ge3 0.7579 0.6257 0.5086
Ge4 0.7579 0.8743 0.0086
O1 0.0962 0.2282 0.9764
O2 0.0962 0.2718 0.4764
O3 0.2178 0.5044 0.3500
O4 0.2178 0.9956 0.8500
O5 0.3006 0.5211 0.6282
O6 0.3006 0.9789 0.1282
O7 0.3528 0.1909 0.5084
O8 0.3528 0.3091 0.0084
O9 0.6472 0.6909 0.9916
O10 0.6472 0.8091 0.4916
O11 0.6994 0.0211 0.8718
O12 0.6994 0.4789 0.3718
O13 0.7822 0.0044 0.1500
O14 0.7822 0.4956 0.6500
O15 0.9038 0.7282 0.5236
O16 0.9038 0.7718 0.0236

***

No. 3
Starting from a cell relaxed with GGA-PBE, the powder X-ray diffraction pattern of Ga2HgO4 was simulated for copper Kα.
Intensities are scaled so that the largest is 100.

Most intense lines, 2θ = 5–70°, by angle:
d = 7.741 Å, 11.43 deg, I = 50.0; d = 3.192 Å, 27.95 deg, I = 100.0; d = 3.163 Å, 28.21 deg, I = 29.2; d = 3.002 Å, 29.76 deg, I = 43.8; d = 2.761 Å, 32.43 deg, I = 36.0; d = 2.531 Å, 35.47 deg, I = 68.7; d = 2.418 Å, 37.18 deg, I = 44.7; d = 1.800 Å, 50.72 deg, I = 35.0

Atomic structure:
Unit cell a=9.8041 b=2.9555 c=12.6160 alpha=90.00 beta=90.00 gamma=90.00
Positions (direct):
Ga1 0.1086 0.2500 0.1291
Ga2 0.1222 0.2500 0.7137
Ga3 0.3778 0.7500 0.2137
Ga4 0.3914 0.7500 0.6291
Ga5 0.6086 0.2500 0.3709
Ga6 0.6222 0.2500 0.7863
Ga7 0.8778 0.7500 0.2863
Ga8 0.8914 0.7500 0.8709
Hg1 0.1544 0.2500 0.4384
Hg2 0.3456 0.7500 0.9384
Hg3 0.6544 0.2500 0.0616
Hg4 0.8456 0.7500 0.5616
O1 0.0097 0.2500 0.8341
O2 0.0385 0.7500 0.6296
O3 0.1854 0.7500 0.0440
O4 0.2486 0.2500 0.2396
O5 0.2514 0.7500 0.7396
O6 0.3146 0.2500 0.5440
O7 0.4615 0.2500 0.1296
O8 0.4903 0.7500 0.3341
O9 0.5097 0.2500 0.6659
O10 0.5385 0.7500 0.8704
O11 0.6854 0.7500 0.4560
O12 0.7486 0.2500 0.2604
O13 0.7514 0.7500 0.7604
O14 0.8146 0.2500 0.9560
O15 0.9615 0.2500 0.3704
O16 0.9903 0.7500 0.1659

***

No. 4
Starting from a cell relaxed with GGA-PBE, the powder X-ray diffraction pattern of Ce4CdIr was simulated for copper Kα.
Intensities are scaled so that the largest is 100.

Most intense lines, 2θ = 5–70°, by angle:
d = 7.966 Å, 11.11 deg, I = 12.6; d = 3.165 Å, 28.19 deg, I = 13.0; d = 2.816 Å, 31.77 deg, I = 38.0; d = 2.655 Å, 33.76 deg, I = 100.0; d = 2.439 Å, 36.85 deg, I = 42.2; d = 2.332 Å, 38.61 deg, I = 12.8; d = 1.626 Å, 56.60 deg, I = 37.3; d = 1.593 Å, 57.88 deg, I = 15.3

Atomic structure:
Unit cell a=9.7560 b=9.7560 c=9.7560 alpha=60.00 beta=60.00 gamma=60.00
Positions (direct):
Ce1 0.1880 0.1880 0.8120
Ce2 0.1880 0.8120 0.1880
Ce3 0.1880 0.8120 0.8120
Ce4 0.4007 0.4007 0.4007
Ce5 0.4007 0.4007 0.7979
Ce6 0.4007 0.7979 0.4007
Ce7 0.5557 0.5557 0.9443
Ce8 0.5557 0.9443 0.5557
Ce9 0.5557 0.9443 0.9443
Ce10 0.7979 0.4007 0.4007
Ce11 0.8120 0.1880 0.1880
Ce12 0.8120 0.1880 0.8120
Ce13 0.8120 0.8120 0.1880
Ce14 0.9443 0.5557 0.5557
Ce15 0.9443 0.5557 0.9443
Ce16 0.9443 0.9443 0.5557
Cd1 0.1708 0.1708 0.1708
Cd2 0.1708 0.1708 0.4875
Cd3 0.1708 0.4875 0.1708
Cd4 0.4875 0.1708 0.1708
Ir1 0.1715 0.6095 0.6095
Ir2 0.6095 0.1715 0.6095
Ir3 0.6095 0.6095 0.1715
Ir4 0.6095 0.6095 0.6095

***

No. 5
Starting from a cell relaxed with GGA-PBE, the powder X-ray diffraction pattern of Y2GeI2 was simulated for copper Kα.
Intensities are scaled so that the largest is 100.

Most intense lines, 2θ = 5–70°, by angle:
d = 3.599 Å, 24.74 deg, I = 15.7; d = 3.203 Å, 27.85 deg, I = 100.0; d = 2.880 Å, 31.06 deg, I = 25.2; d = 2.721 Å, 32.91 deg, I = 30.0; d = 2.132 Å, 42.40 deg, I = 45.6; d = 2.057 Å, 44.01 deg, I = 31.2; d = 1.775 Å, 51.50 deg, I = 17.6; d = 1.371 Å, 68.46 deg, I = 17.2

Atomic structure:
Unit cell a=11.0156 b=11.0156 c=11.0156 alpha=22.32 beta=22.32 gamma=22.32
Positions (direct):
Y1 0.1180 0.1180 0.1180
Y2 0.8820 0.8820 0.8820
Ge1 0.5000 0.5000 0.5000
I1 0.2779 0.2779 0.2779
I2 0.7221 0.7221 0.7221

***

No. 6
Starting from a cell relaxed with GGA-PBE, the powder X-ray diffraction pattern of CeMg14Ni was simulated for copper Kα.
Intensities are scaled so that the largest is 100.

Most intense lines, 2θ = 5–70°, by angle:
d = 10.195 Å, 8.67 deg, I = 97.3; d = 5.837 Å, 15.18 deg, I = 27.8; d = 5.066 Å, 17.51 deg, I = 37.7; d = 2.670 Å, 33.57 deg, I = 42.8; d = 2.549 Å, 35.21 deg, I = 44.2; d = 2.533 Å, 35.44 deg, I = 78.3; d = 2.365 Å, 38.05 deg, I = 100.0; d = 1.843 Å, 49.44 deg, I = 26.5

Atomic structure:
Unit cell a=10.1950 b=6.5641 c=6.5641 alpha=54.43 beta=90.00 gamma=90.00
Positions (direct):
Ce1 0.0000 0.0000 0.0000
Mg1 0.0000 0.0169 0.4872
Mg2 0.0000 0.4872 0.0169
Mg3 0.2129 0.6268 0.6268
Mg4 0.2507 0.1419 0.6374
Mg5 0.2507 0.6374 0.1419
Mg6 0.2645 0.1452 0.1452
Mg7 0.5000 0.4840 0.4840
Mg8 0.5000 0.4866 0.9790
Mg9 0.5000 0.9790 0.4866
Mg10 0.5000 0.9796 0.9796
Mg11 0.7355 0.1452 0.1452
Mg12 0.7493 0.1419 0.6374
Mg13 0.7493 0.6374 0.1419
Mg14 0.7871 0.6268 0.6268
Ni1 0.0000 0.4663 0.4663

***

No. 7
Starting from a cell relaxed with GGA-PBE, the powder X-ray diffraction pattern of CsHSO4 was simulated for copper Kα.
Intensities are scaled so that the largest is 100.

Most intense lines, 2θ = 5–70°, by angle:
d = 4.580 Å, 19.38 deg, I = 17.4; d = 3.736 Å, 23.82 deg, I = 100.0; d = 3.591 Å, 24.79 deg, I = 40.2; d = 3.344 Å, 26.66 deg, I = 82.6; d = 2.973 Å, 30.06 deg, I = 27.3; d = 2.617 Å, 34.26 deg, I = 16.5; d = 2.290 Å, 39.34 deg, I = 25.1; d = 1.779 Å, 51.37 deg, I = 18.8

Atomic structure:
Unit cell a=5.6033 b=5.9465 c=7.2972 alpha=90.00 beta=100.16 gamma=90.00
Positions (direct):
Cs1 0.0138 0.2500 0.2153
Cs2 0.9862 0.7500 0.7847
H1 0.5000 0.0000 0.5000
H2 0.5000 0.5000 0.5000
S1 0.4544 0.2500 0.7407
S2 0.5456 0.7500 0.2593
O1 0.2820 0.7500 0.2013
O2 0.3126 0.2500 0.8892
O3 0.3777 0.0433 0.6168
O4 0.3777 0.4567 0.6168
O5 0.6223 0.5433 0.3832
O6 0.6223 0.9567 0.3832
O7 0.6874 0.7500 0.1108
O8 0.7180 0.2500 0.7987

***

No. 8
Starting from a cell relaxed with GGA-PBE, the powder X-ray diffraction pattern of AcZn2In was simulated for copper Kα.
Intensities are scaled so that the largest is 100.

Most intense lines, 2θ = 5–70°, by angle:
d = 4.230 Å, 21.00 deg, I = 10.2; d = 3.663 Å, 24.30 deg, I = 19.8; d = 2.590 Å, 34.63 deg, I = 100.0; d = 2.209 Å, 40.85 deg, I = 6.0; d = 2.115 Å, 42.75 deg, I = 6.2; d = 1.832 Å, 49.78 deg, I = 17.8; d = 1.638 Å, 56.14 deg, I = 8.6; d = 1.496 Å, 62.06 deg, I = 36.3

Atomic structure:
Unit cell a=5.1810 b=5.1810 c=5.1810 alpha=60.00 beta=60.00 gamma=60.00
Positions (direct):
Ac1 0.0000 0.0000 0.0000
Zn1 0.2500 0.2500 0.2500
Zn2 0.7500 0.7500 0.7500
In1 0.5000 0.5000 0.5000

***

No. 9
Starting from a cell relaxed with GGA-PBE, the powder X-ray diffraction pattern of MgCo2Sb2S2 was simulated for copper Kα.
Intensities are scaled so that the largest is 100.

Most intense lines, 2θ = 5–70°, by angle:
d = 5.421 Å, 16.35 deg, I = 92.7; d = 3.196 Å, 27.92 deg, I = 73.3; d = 3.083 Å, 28.96 deg, I = 100.0; d = 2.791 Å, 32.07 deg, I = 94.3; d = 2.662 Å, 33.67 deg, I = 74.9; d = 2.582 Å, 34.75 deg, I = 82.9; d = 2.133 Å, 42.37 deg, I = 97.3; d = 1.950 Å, 46.57 deg, I = 79.5

Atomic structure:
Unit cell a=5.5330 b=3.4541 c=6.9824 alpha=90.00 beta=101.56 gamma=90.00
Positions (direct):
Mg1 0.0000 0.0000 0.0000
Co1 0.2667 0.0000 0.6473
Co2 0.7666 0.5000 0.2567
Sb1 0.5048 0.0000 0.0304
Sb2 0.5449 0.5000 0.5376
S1 0.0106 0.0000 0.3559
S2 0.0130 0.5000 0.7468